1.
The following is a theoretical X-ray diffraction stick pattern of YTm2Al2Ga2. It was derived from a PBE-relaxed structure, using Cu Kα (weighted mean of Kα1 and Kα2).

Principal peaks in the range 10° ≤ 2θ ≤ 90°, by angle:
- 2θ = 23.88°, 3.726 Å, I 532
- 2θ = 26.62°, 3.349 Å, I 115
- 2θ = 31.88°, 2.807 Å, I 559
- 2θ = 34.03°, 2.634 Å, I 1000
- 2θ = 41.65°, 2.169 Å, I 645
- 2θ = 46.05°, 1.971 Å, I 110
- 2θ = 53.39°, 1.716 Å, I 130
- 2θ = 54.83°, 1.674 Å, I 254
- 2θ = 55.42°, 1.658 Å, I 179
- 2θ = 63.81°, 1.459 Å, I 248
- 2θ = 69.90°, 1.346 Å, I 115
- 2θ = 71.14°, 1.325 Å, I 230

Atomic structure:
```
data_YTm2Al2Ga2
_chemical_formula_sum 'Y1 Tm2 Al2 Ga2'
_cell_length_a 10.1681
_cell_length_b 10.1681
_cell_length_c 10.1681
_cell_angle_alpha 24.63
_cell_angle_beta 24.63
_cell_angle_gamma 24.63
_space_group_name_H-M_alt 'P 1'
_space_group_IT_number 1
_space_group_name_Hall 'P 1'
loop_
_atom_site_label
_atom_site_type_symbol
_atom_site_fract_x
_atom_site_fract_y
_atom_site_fract_z
_atom_site_occupancy
Y1 Y 0.0000 0.0000 0.0000 1
Tm1 Tm 0.1278 0.1278 0.1278 1
Tm2 Tm 0.8722 0.8722 0.8722 1
Al1 Al 0.3948 0.3948 0.3948 1
Al2 Al 0.6052 0.6052 0.6052 1
Ga1 Ga 0.2571 0.2571 0.2571 1
Ga2 Ga 0.7429 0.7429 0.7429 1
```

=====

2.
The following is a theoretical X-ray diffraction stick pattern of Th2Co3Ni. It was derived from a PBE-relaxed structure, using Cu Kα (weighted mean of Kα1 and Kα2).

Principal peaks in the range 10° ≤ 2θ ≤ 90°, by angle:
- 2θ = 25.82°, 3.450 Å, I 481
- 2θ = 34.46°, 2.603 Å, I 501
- 2θ = 34.54°, 2.597 Å, I 1000
- 2θ = 45.47°, 1.995 Å, I 344
- 2θ = 45.65°, 1.987 Å, I 170
- 2θ = 45.94°, 1.975 Å, I 167
- 2θ = 53.45°, 1.714 Å, I 145
- 2θ = 58.23°, 1.584 Å, I 112
- 2θ = 58.43°, 1.579 Å, I 221
- 2θ = 66.63°, 1.404 Å, I 216
- 2θ = 66.77°, 1.401 Å, I 108
- 2θ = 77.59°, 1.230 Å, I 145

Atomic structure:
```
data_Th2Co3Ni
_chemical_formula_sum 'Th4 Co6 Ni2'
_cell_length_a 7.9784
_cell_length_b 7.9667
_cell_length_c 5.6040
_cell_angle_alpha 69.54
_cell_angle_beta 69.31
_cell_angle_gamma 41.15
_space_group_name_H-M_alt 'P 1'
_space_group_IT_number 1
_space_group_name_Hall 'P 1'
loop_
_atom_site_label
_atom_site_type_symbol
_atom_site_fract_x
_atom_site_fract_y
_atom_site_fract_z
_atom_site_occupancy
Th1 Th 0.2489 0.7511 0.7511 1
Th2 Th 0.2500 0.2500 0.2500 1
Th3 Th 0.7500 0.7500 0.7500 1
Th4 Th 0.7511 0.2489 0.2489 1
Co1 Co 0.1700 0.6654 0.3346 1
Co2 Co 0.3350 0.3350 0.6650 1
Co3 Co 0.3346 0.8300 0.1700 1
Co4 Co 0.6654 0.1700 0.8300 1
Co5 Co 0.6650 0.6650 0.3350 1
Co6 Co 0.8300 0.3346 0.6654 1
Ni1 Ni 0.1667 0.1667 0.8333 1
Ni2 Ni 0.8333 0.8333 0.1667 1
```

=====

3.
The following is a theoretical X-ray diffraction stick pattern of K3Te3Pb. It was derived from a PBE-relaxed structure, using Cu Kα (weighted mean of Kα1 and Kα2).

Principal peaks in the range 10° ≤ 2θ ≤ 90°, by angle:
- 2θ = 12.56°, 7.049 Å, I 430
- 2θ = 13.11°, 6.755 Å, I 1000
- 2θ = 20.71°, 4.290 Å, I 900
- 2θ = 22.16°, 4.011 Å, I 342
- 2θ = 24.18°, 3.680 Å, I 343
- 2θ = 30.16°, 2.963 Å, I 225
- 2θ = 33.13°, 2.704 Å, I 626
- 2θ = 33.46°, 2.678 Å, I 668
- 2θ = 35.73°, 2.513 Å, I 679
- 2θ = 37.30°, 2.410 Å, I 316
- 2θ = 62.35°, 1.489 Å, I 198
- 2θ = 62.95°, 1.476 Å, I 168

Atomic structure:
```
data_K3Te3Pb
_chemical_formula_sum 'K12 Te12 Pb4'
_cell_length_a 11.5140
_cell_length_b 11.5140
_cell_length_c 14.0990
_cell_angle_alpha 90.00
_cell_angle_beta 90.00
_cell_angle_gamma 41.94
_space_group_name_H-M_alt 'P 1'
_space_group_IT_number 1
_space_group_name_Hall 'P 1'
loop_
_atom_site_label
_atom_site_type_symbol
_atom_site_fract_x
_atom_site_fract_y
_atom_site_fract_z
_atom_site_occupancy
K1 K 0.0249 0.3277 0.8728 1
K2 K 0.1536 0.8464 0.8550 1
K3 K 0.1723 0.4751 0.6272 1
K4 K 0.3277 0.0249 0.1272 1
K5 K 0.3464 0.6536 0.3550 1
K6 K 0.4751 0.1723 0.3728 1
K7 K 0.5249 0.8277 0.6272 1
K8 K 0.6536 0.3464 0.6450 1
K9 K 0.6723 0.9751 0.8728 1
K10 K 0.8277 0.5249 0.3728 1
K11 K 0.8464 0.1536 0.1450 1
K12 K 0.9751 0.6723 0.1272 1
Te1 Te 0.0563 0.6213 0.3764 1
Te2 Te 0.1213 0.5563 0.8764 1
Te3 Te 0.2262 0.7738 0.6093 1
Te4 Te 0.2738 0.7262 0.1093 1
Te5 Te 0.3787 0.9437 0.3764 1
Te6 Te 0.4437 0.8787 0.8764 1
Te7 Te 0.5563 0.1213 0.1236 1
Te8 Te 0.6213 0.0563 0.6236 1
Te9 Te 0.7262 0.2738 0.8907 1
Te10 Te 0.7738 0.2262 0.3907 1
Te11 Te 0.8787 0.4437 0.1236 1
Te12 Te 0.9437 0.3787 0.6236 1
Pb1 Pb 0.0888 0.0888 0.5000 1
Pb2 Pb 0.4112 0.4112 0.0000 1
Pb3 Pb 0.5888 0.5888 0.0000 1
Pb4 Pb 0.9112 0.9112 0.5000 1
```

=====

4.
The following is a theoretical X-ray diffraction stick pattern of PaZn2Cr. It was derived from a PBE-relaxed structure, using Cu Kα (weighted mean of Kα1 and Kα2).

Principal peaks in the range 10° ≤ 2θ ≤ 90°, by angle:
- 2θ = 19.69°, 4.508 Å, I 294
- 2θ = 23.20°, 3.833 Å, I 196
- 2θ = 28.24°, 3.161 Å, I 175
- 2θ = 34.66°, 2.588 Å, I 1000
- 2θ = 34.82°, 2.577 Å, I 363
- 2θ = 36.86°, 2.439 Å, I 341
- 2θ = 38.94°, 2.313 Å, I 354
- 2θ = 40.00°, 2.254 Å, I 205
- 2θ = 41.08°, 2.197 Å, I 344
- 2θ = 41.94°, 2.154 Å, I 394
- 2θ = 47.49°, 1.914 Å, I 183
- 2θ = 66.39°, 1.408 Å, I 171

Atomic structure:
```
data_PaZn2Cr
_chemical_formula_sum 'Pa2 Zn4 Cr2'
_cell_length_a 4.7212
_cell_length_b 6.3212
_cell_length_c 4.7998
_cell_angle_alpha 90.00
_cell_angle_beta 107.29
_cell_angle_gamma 90.00
_space_group_name_H-M_alt 'P 1'
_space_group_IT_number 1
_space_group_name_Hall 'P 1'
loop_
_atom_site_label
_atom_site_type_symbol
_atom_site_fract_x
_atom_site_fract_y
_atom_site_fract_z
_atom_site_occupancy
Pa1 Pa 0.0421 0.2500 0.1272 1
Pa2 Pa 0.9579 0.7500 0.8728 1
Zn1 Zn 0.4146 0.0506 0.7218 1
Zn2 Zn 0.4146 0.4494 0.7218 1
Zn3 Zn 0.5854 0.5506 0.2782 1
Zn4 Zn 0.5854 0.9494 0.2782 1
Cr1 Cr 0.0984 0.7500 0.3654 1
Cr2 Cr 0.9016 0.2500 0.6346 1
```

=====

5.
The following is a theoretical X-ray diffraction stick pattern of Th3Zn9Cu2. It was derived from a PBE-relaxed structure, using Cu Kα (weighted mean of Kα1 and Kα2).

Principal peaks in the range 10° ≤ 2θ ≤ 90°, by angle:
- 2θ = 22.26°, 3.994 Å, I 343
- 2θ = 22.76°, 3.907 Å, I 177
- 2θ = 28.68°, 3.112 Å, I 309
- 2θ = 34.04°, 2.634 Å, I 315
- 2θ = 35.12°, 2.555 Å, I 1000
- 2θ = 35.57°, 2.524 Å, I 402
- 2θ = 36.21°, 2.481 Å, I 456
- 2θ = 36.53°, 2.460 Å, I 315
- 2θ = 38.84°, 2.318 Å, I 210
- 2θ = 40.43°, 2.231 Å, I 454
- 2θ = 55.61°, 1.653 Å, I 189
- 2θ = 68.90°, 1.363 Å, I 231

Atomic structure:
```
data_Th3Zn9Cu2
_chemical_formula_sum 'Th3 Zn9 Cu2'
_cell_length_a 8.2132
_cell_length_b 8.2132
_cell_length_c 8.2132
_cell_angle_alpha 148.48
_cell_angle_beta 113.94
_cell_angle_gamma 75.04
_space_group_name_H-M_alt 'P 1'
_space_group_IT_number 1
_space_group_name_Hall 'P 1'
loop_
_atom_site_label
_atom_site_type_symbol
_atom_site_fract_x
_atom_site_fract_y
_atom_site_fract_z
_atom_site_occupancy
Th1 Th 0.0000 0.0000 0.0000 1
Th2 Th 0.2972 0.2972 0.0000 1
Th3 Th 0.7028 0.7028 0.0000 1
Zn1 Zn 0.0113 0.6533 0.3580 1
Zn2 Zn 0.1464 0.8636 0.2827 1
Zn3 Zn 0.2953 0.6533 0.6420 1
Zn4 Zn 0.4191 0.1364 0.2827 1
Zn5 Zn 0.5000 0.0000 0.5000 1
Zn6 Zn 0.5809 0.8636 0.7173 1
Zn7 Zn 0.7047 0.3467 0.3580 1
Zn8 Zn 0.8536 0.1364 0.7173 1
Zn9 Zn 0.9887 0.3467 0.6420 1
Cu1 Cu 0.3232 0.5000 0.8232 1
Cu2 Cu 0.6768 0.5000 0.1768 1
```

=====

6.
The following is a theoretical X-ray diffraction stick pattern of Ac8Pt6Se. It was derived from a PBE-relaxed structure, using Cu Kα (weighted mean of Kα1 and Kα2).

Principal peaks in the range 10° ≤ 2θ ≤ 90°, by angle:
- 2θ = 24.83°, 3.586 Å, I 467
- 2θ = 26.56°, 3.356 Å, I 397
- 2θ = 28.29°, 3.155 Å, I 562
- 2θ = 31.28°, 2.859 Å, I 1000
- 2θ = 34.16°, 2.625 Å, I 350
- 2θ = 37.80°, 2.380 Å, I 367
- 2θ = 37.98°, 2.369 Å, I 979
- 2θ = 45.94°, 1.975 Å, I 327
- 2θ = 47.88°, 1.900 Å, I 212
- 2θ = 48.04°, 1.894 Å, I 252
- 2θ = 51.86°, 1.763 Å, I 193
- 2θ = 72.71°, 1.300 Å, I 227

Atomic structure:
```
data_Ac8Pt6Se
_chemical_formula_sum 'Ac8 Pt6 Se1'
_cell_length_a 10.9276
_cell_length_b 10.9276
_cell_length_c 4.7595
_cell_angle_alpha 90.00
_cell_angle_beta 90.00
_cell_angle_gamma 120.00
_space_group_name_H-M_alt 'P 1'
_space_group_IT_number 1
_space_group_name_Hall 'P 1'
loop_
_atom_site_label
_atom_site_type_symbol
_atom_site_fract_x
_atom_site_fract_y
_atom_site_fract_z
_atom_site_occupancy
Ac1 Ac 0.0291 0.3297 0.2612 1
Ac2 Ac 0.3006 0.9709 0.2612 1
Ac3 Ac 0.3297 0.3006 0.7388 1
Ac4 Ac 0.3333 0.6667 0.7464 1
Ac5 Ac 0.6667 0.3333 0.2536 1
Ac6 Ac 0.6703 0.6994 0.2612 1
Ac7 Ac 0.6994 0.0291 0.7388 1
Ac8 Ac 0.9709 0.6703 0.7388 1
Pt1 Pt 0.1384 0.6560 0.2436 1
Pt2 Pt 0.3440 0.4823 0.2436 1
Pt3 Pt 0.4823 0.1384 0.7564 1
Pt4 Pt 0.5177 0.8616 0.2436 1
Pt5 Pt 0.6560 0.5177 0.7564 1
Pt6 Pt 0.8616 0.3440 0.7564 1
Se1 Se 0.0000 0.0000 0.5000 1
```

=====

7.
The following is a theoretical X-ray diffraction stick pattern of PaBBr. It was derived from a PBE-relaxed structure, using Cu Kα (weighted mean of Kα1 and Kα2).

Principal peaks in the range 10° ≤ 2θ ≤ 90°, by angle:
- 2θ = 14.36°, 6.167 Å, I 503
- 2θ = 21.61°, 4.111 Å, I 248
- 2θ = 28.96°, 3.084 Å, I 306
- 2θ = 30.64°, 2.918 Å, I 1000
- 2θ = 32.07°, 2.791 Å, I 244
- 2θ = 35.04°, 2.561 Å, I 737
- 2θ = 36.32°, 2.473 Å, I 448
- 2θ = 39.28°, 2.294 Å, I 298
- 2θ = 40.83°, 2.210 Å, I 497
- 2θ = 40.94°, 2.204 Å, I 240
- 2θ = 44.05°, 2.056 Å, I 216
- 2θ = 54.28°, 1.690 Å, I 402

Atomic structure:
```
data_PaBBr
_chemical_formula_sum 'Pa2 B2 Br2'
_cell_length_a 3.3801
_cell_length_b 3.3801
_cell_length_c 12.4951
_cell_angle_alpha 97.96
_cell_angle_beta 97.96
_cell_angle_gamma 60.00
_space_group_name_H-M_alt 'P 1'
_space_group_IT_number 1
_space_group_name_Hall 'P 1'
loop_
_atom_site_label
_atom_site_type_symbol
_atom_site_fract_x
_atom_site_fract_y
_atom_site_fract_z
_atom_site_occupancy
Pa1 Pa 0.0531 0.0531 0.1555 1
Pa2 Pa 0.9469 0.9469 0.8445 1
B1 B 0.3337 0.3337 0.0010 1
B2 B 0.6663 0.6663 0.9990 1
Br1 Br 0.2186 0.2186 0.6639 1
Br2 Br 0.7814 0.7814 0.3361 1
```

=====

8.
The following is a theoretical X-ray diffraction stick pattern of Nb6Zn3C. It was derived from a PBE-relaxed structure, using Cu Kα (weighted mean of Kα1 and Kα2).

Principal peaks in the range 10° ≤ 2θ ≤ 90°, by angle:
- 2θ = 32.19°, 2.781 Å, I 225
- 2θ = 33.08°, 2.708 Å, I 116
- 2θ = 34.94°, 2.568 Å, I 382
- 2θ = 37.40°, 2.404 Å, I 335
- 2θ = 37.58°, 2.393 Å, I 142
- 2θ = 38.40°, 2.344 Å, I 1000
- 2θ = 41.19°, 2.192 Å, I 614
- 2θ = 45.62°, 1.989 Å, I 171
- 2θ = 54.37°, 1.688 Å, I 118
- 2θ = 56.49°, 1.629 Å, I 132
- 2θ = 65.61°, 1.423 Å, I 115
- 2θ = 66.14°, 1.413 Å, I 130

Atomic structure:
```
data_Nb6Zn3C
_chemical_formula_sum 'Nb6 Zn3 C1'
_cell_length_a 5.6651
_cell_length_b 5.6651
_cell_length_c 6.0709
_cell_angle_alpha 99.47
_cell_angle_beta 99.47
_cell_angle_gamma 60.31
_space_group_name_H-M_alt 'P 1'
_space_group_IT_number 1
_space_group_name_Hall 'P 1'
loop_
_atom_site_label
_atom_site_type_symbol
_atom_site_fract_x
_atom_site_fract_y
_atom_site_fract_z
_atom_site_occupancy
Nb1 Nb 0.1209 0.6308 0.6433 1
Nb2 Nb 0.1414 0.1414 0.8367 1
Nb3 Nb 0.3692 0.8791 0.3567 1
Nb4 Nb 0.6308 0.1209 0.6433 1
Nb5 Nb 0.8586 0.8586 0.1633 1
Nb6 Nb 0.8791 0.3692 0.3567 1
Zn1 Zn 0.3446 0.3446 0.2499 1
Zn2 Zn 0.5000 0.5000 0.0000 1
Zn3 Zn 0.6554 0.6554 0.7501 1
C1 C 0.0000 0.0000 0.5000 1
```

=====

9.
The following is a theoretical X-ray diffraction stick pattern of K3GeS4. It was derived from a PBE-relaxed structure, using Cu Kα (weighted mean of Kα1 and Kα2).

Principal peaks in the range 10° ≤ 2θ ≤ 90°, by angle:
- 2θ = 14.19°, 6.242 Å, I 588
- 2θ = 15.10°, 5.867 Å, I 613
- 2θ = 21.32°, 4.167 Å, I 524
- 2θ = 21.67°, 4.101 Å, I 1000
- 2θ = 23.74°, 3.749 Å, I 984
- 2θ = 24.44°, 3.642 Å, I 382
- 2θ = 24.74°, 3.598 Å, I 854
- 2θ = 32.36°, 2.767 Å, I 446
- 2θ = 37.58°, 2.394 Å, I 627
- 2θ = 38.21°, 2.355 Å, I 333
- 2θ = 42.35°, 2.134 Å, I 526
- 2θ = 44.94°, 2.017 Å, I 342

Atomic structure:
```
data_K3GeS4
_chemical_formula_sum 'K6 Ge2 S8'
_cell_length_a 9.4220
_cell_length_b 8.3341
_cell_length_c 7.4974
_cell_angle_alpha 90.00
_cell_angle_beta 90.00
_cell_angle_gamma 90.00
_space_group_name_H-M_alt 'P 1'
_space_group_IT_number 1
_space_group_name_Hall 'P 1'
loop_
_atom_site_label
_atom_site_type_symbol
_atom_site_fract_x
_atom_site_fract_y
_atom_site_fract_z
_atom_site_occupancy
K1 K 0.0000 0.1188 0.0000 1
K2 K 0.2346 0.3296 0.4918 1
K3 K 0.2654 0.6704 0.9918 1
K4 K 0.5000 0.8812 0.5000 1
K5 K 0.7346 0.6704 0.9918 1
K6 K 0.7654 0.3296 0.4918 1
Ge1 Ge 0.0000 0.8149 0.4846 1
Ge2 Ge 0.5000 0.1851 0.9846 1
S1 S 0.0000 0.0707 0.5702 1
S2 S 0.0000 0.7862 0.1903 1
S3 S 0.1984 0.6975 0.5803 1
S4 S 0.3016 0.3025 0.0803 1
S5 S 0.5000 0.2138 0.6903 1
S6 S 0.5000 0.9293 0.0702 1
S7 S 0.6984 0.3025 0.0803 1
S8 S 0.8016 0.6975 0.5803 1
```

=====

10.
The following is a theoretical X-ray diffraction stick pattern of Li17CaPm. It was derived from a PBE-relaxed structure, using Cu Kα (weighted mean of Kα1 and Kα2).

Principal peaks in the range 10° ≤ 2θ ≤ 90°, by angle:
- 2θ = 11.88°, 7.450 Å, I 1000
- 2θ = 15.84°, 5.596 Å, I 438
- 2θ = 17.77°, 4.992 Å, I 741
- 2θ = 18.13°, 4.894 Å, I 237
- 2θ = 21.43°, 4.147 Å, I 293
- 2θ = 25.49°, 3.495 Å, I 739
- 2θ = 26.38°, 3.379 Å, I 241
- 2θ = 27.97°, 3.190 Å, I 307
- 2θ = 31.03°, 2.882 Å, I 291
- 2θ = 35.98°, 2.496 Å, I 237
- 2θ = 36.17°, 2.483 Å, I 436
- 2θ = 36.80°, 2.442 Å, I 298

Atomic structure:
```
data_Li17CaPm
_chemical_formula_sum 'Li17 Ca1 Pm1'
_cell_length_a 7.5614
_cell_length_b 7.5614
_cell_length_c 7.5614
_cell_angle_alpha 82.63
_cell_angle_beta 82.63
_cell_angle_gamma 82.63
_space_group_name_H-M_alt 'P 1'
_space_group_IT_number 1
_space_group_name_Hall 'P 1'
loop_
_atom_site_label
_atom_site_type_symbol
_atom_site_fract_x
_atom_site_fract_y
_atom_site_fract_z
_atom_site_occupancy
Li1 Li 0.0077 0.4961 0.4961 1
Li2 Li 0.0500 0.0500 0.0500 1
Li3 Li 0.1447 0.1447 0.6534 1
Li4 Li 0.1447 0.6534 0.1447 1
Li5 Li 0.1515 0.4432 0.8503 1
Li6 Li 0.1515 0.8503 0.4432 1
Li7 Li 0.2472 0.2472 0.2472 1
Li8 Li 0.3059 0.7932 0.7932 1
Li9 Li 0.4432 0.1515 0.8503 1
Li10 Li 0.4432 0.8503 0.1515 1
Li11 Li 0.4961 0.0077 0.4961 1
Li12 Li 0.4961 0.4961 0.0077 1
Li13 Li 0.6534 0.1447 0.1447 1
Li14 Li 0.7932 0.3059 0.7932 1
Li15 Li 0.7932 0.7932 0.3059 1
Li16 Li 0.8503 0.1515 0.4432 1
Li17 Li 0.8503 0.4432 0.1515 1
Ca1 Ca 0.7994 0.7994 0.7994 1
Pm1 Pm 0.4891 0.4891 0.4891 1
```